(1)
# Np3As
Theoretical powder diffractogram, λ = 1.5418 Å (Cu Kα). Input: DFT lattice parameters and positions (GGA-PBE).
Peak positions follow from Bragg's law for the DFT cell and can differ from measured ones.

Structural model:
a b c (Å): 4.2717 4.2717 8.3740
angles (deg): 90.00 90.00 90.00
Space group I4/mmm (No. 139)
Symmetry-distinct sites (fractional):
Np: 0.0000 0.0000 0.0000 x2
Np: 0.0000 0.5000 0.2500 x4
As: 0.0000 0.0000 0.5000 x2

Top 8 peaks for 5° ≤ 2θ ≤ 70°, most intense first:
Position (°2θ)  Rel. int.  h k l
36.7  100  1 1 2
42.3  34  2 0 0
62.1  22  2 0 4
43.2  16  0 0 4
23.4  12  1 0 1
61.4  12  2 2 0
21.2  4  0 0 2
48.9  4  2 1 1

(2)
# Ba2MgNbInO6
Theoretical powder diffractogram, λ = 1.5418 Å (Cu Kα). Input: DFT lattice parameters and positions (GGA-PBE).
Peak positions follow from Bragg's law for the DFT cell and can differ from measured ones.

Structural model:
a b c (Å): 10.7594 6.2135 6.9320
angles (deg): 90.00 121.09 90.00
Space group Cm (No. 8)
Symmetry-distinct sites (fractional):
Ba: 0.0000 0.0000 0.0000 x2
Ba: 0.0881 0.5000 0.7637 x2
Mg: 0.2236 0.0000 0.6702 x2
Nb: 0.3898 0.0000 0.1700 x2
In: 0.3111 0.5000 0.4330 x2
O: 0.0417 0.0000 0.6558 x2
O: 0.0633 0.5000 0.1651 x2
O: 0.3001 0.2628 0.1640 x4
O: 0.3075 0.2658 0.6566 x4

Top 8 peaks for 5° ≤ 2θ ≤ 70°, most intense first:
Position (°2θ)  Rel. int.  h k l
28.7  100  0 2 0
30.1  90  1 1 -2
51.8  41  5 1 0
42.1  36  2 2 1
39.1  21  4 0 0
50.9  20  6 0 -2
59.5  19  0 4 0
68.1  17  7 1 -4

(3)
# Li3CuOF3
Theoretical powder diffractogram, λ = 1.5418 Å (Cu Kα). Input: DFT lattice parameters and positions (GGA-PBE).
Peak positions follow from Bragg's law for the DFT cell and can differ from measured ones.

Structural model:
a b c (Å): 2.8239 2.8239 9.0538
angles (deg): 90.00 90.00 90.00
Space group P4/mmm (No. 123)
Symmetry-distinct sites (fractional):
Li: 0.0000 0.0000 0.0000 x1
Li: 0.5000 0.5000 0.2318 x2
Cu: 0.0000 0.0000 0.5000 x1
O: 0.5000 0.5000 0.5000 x1
F: 0.0000 0.0000 0.2289 x2
F: 0.5000 0.5000 0.0000 x1

Top 8 peaks for 5° ≤ 2θ ≤ 70°, most intense first:
Position (°2θ)  Rel. int.  h k l
9.8  100  0 0 1
45.4  40  1 1 0
33.2  32  1 0 1
19.6  30  0 0 2
39.8  28  0 0 4
62.0  25  1 1 4
43.9  23  1 0 3
31.7  21  1 0 0

(4)
# SrH2Cl2O
Theoretical powder diffractogram, λ = 1.5418 Å (Cu Kα). Input: DFT lattice parameters and positions (GGA-PBE).
Peak positions follow from Bragg's law for the DFT cell and can differ from measured ones.

Structural model:
a b c (Å): 9.2494 4.3806 11.2718
angles (deg): 90.00 90.00 90.00
Space group Pnma (No. 62)
Symmetry-distinct sites (fractional):
Sr: 0.1746 0.2500 0.0024 x4
H: 0.0595 0.7500 0.2900 x4
H: 0.0877 0.7500 0.8381 x4
Cl: 0.0594 0.7500 0.6300 x4
Cl: 0.1838 0.7500 0.2337 x4
O: 0.0832 0.7500 0.9252 x4

Top 8 peaks for 5° ≤ 2θ ≤ 70°, most intense first:
Position (°2θ)  Rel. int.  h k l
23.8  100  1 1 1
32.3  67  2 1 2
30.0  50  3 0 1
32.9  45  1 1 3
12.4  39  1 0 1
47.3  39  4 1 2
41.2  37  0 2 0
15.7  35  0 0 2

(5)
# LaMg14Mn
Theoretical powder diffractogram, λ = 1.5418 Å (Cu Kα). Input: DFT lattice parameters and positions (GGA-PBE).
Peak positions follow from Bragg's law for the DFT cell and can differ from measured ones.

Structural model:
a b c (Å): 10.3471 6.4415 11.3894
angles (deg): 90.00 90.00 90.00
Space group Amm2 (No. 38)
Symmetry-distinct sites (fractional):
La: 0.0000 0.0000 0.0000 x2
Mg: 0.0000 0.2413 0.2515 x4
Mg: 0.2411 0.0000 0.6613 x4
Mg: 0.2547 0.2421 0.4134 x8
Mg: 0.2590 0.0000 0.1671 x4
Mg: 0.5000 0.0000 0.4984 x2
Mg: 0.5000 0.0000 0.9976 x2
Mg: 0.5000 0.2489 0.7481 x4
Mn: 0.0000 0.0000 0.4924 x2

Top 8 peaks for 5° ≤ 2θ ≤ 70°, most intense first:
Position (°2θ)  Rel. int.  h k l
36.5  100  2 2 2
8.5  60  1 0 0
36.0  53  2 0 4
34.7  38  4 0 0
31.9  29  0 2 2
17.8  25  1 0 2
67.8  19  4 2 6
47.8  19  4 2 2